Entry 1:
Starting from a cell relaxed with GGA-PBE, the PXRD pattern of Sc2Zn2Ga3 was simulated for Cu Kα (λ = 1.5418 Å).
Kinematic intensities with the Lorentz-polarization factor, no thermal factor.

Cell and atoms:
```
Sc2Zn2Ga3
1.0
2.0527 -9.0387 0.0000
2.0527 9.0387 0.0000
0.0000 0.0000 6.7622
Sc Zn Ga
4 4 6
Cartesian
2.0527 8.1776 5.0717
2.0527 6.2489 1.6906
2.0527 -6.2489 5.0717
2.0527 -8.1776 1.6906
2.0527 3.3951 0.3888
2.0527 3.3951 2.9923
2.0527 -3.3951 3.7699
2.0527 -3.3951 6.3734
2.0527 4.9777 5.0717
2.0527 1.1052 3.8439
2.0527 1.1052 6.2994
2.0527 -1.1052 0.4628
2.0527 -1.1052 2.9183
2.0527 -4.9777 1.6906
```

Peak list (12 most intense, 2θ from 10° to 90°, sorted by position)
two_theta	I (rel.)
22.20	423
23.68	204
34.73	1000
35.65	994
37.56	219
39.90	339
42.73	209
44.12	586
44.94	470
48.48	587
49.66	257
64.80	295

=====

Entry 2:
Starting from a cell relaxed with GGA-PBE, the PXRD pattern of ZrScGa3 was simulated for Cu Kα (λ = 1.5418 Å).
Kinematic intensities with the Lorentz-polarization factor, no thermal factor.

Cell and atoms:
```
ZrScGa3
1.0
6.7424 0.0000 0.0000
0.0000 6.7424 0.0000
0.0000 0.0000 8.2087
Zr Sc Ga
4 4 12
Cartesian
1.1609 1.1609 0.0000
2.2102 4.5321 4.1043
4.5321 2.2102 4.1043
5.5814 5.5814 0.0000
1.1699 1.1699 4.1043
2.2012 4.5411 0.0000
4.5411 2.2012 0.0000
5.5724 5.5724 4.1043
0.0000 3.3712 2.0522
0.0000 3.3712 6.1565
0.8749 5.8674 2.0580
0.8749 5.8674 6.1506
2.4962 2.4962 2.0463
2.4962 2.4962 6.1624
3.3712 0.0000 2.0522
3.3712 0.0000 6.1565
4.2461 4.2461 2.0463
4.2461 4.2461 6.1624
5.8674 0.8749 2.0580
5.8674 0.8749 6.1506
```

Peak list (12 most intense, 2θ from 10° to 90°, sorted by position)
two_theta	I (rel.)
21.61	139
34.43	288
36.99	1000
37.74	76
42.39	363
44.13	224
48.09	84
60.99	80
62.85	215
75.55	82
76.45	110
80.14	94

=====

Entry 3:
Starting from a cell relaxed with GGA-PBE, the PXRD pattern of Zr3Sc4Ga4 was simulated for Cu Kα (λ = 1.5418 Å).
Kinematic intensities with the Lorentz-polarization factor, no thermal factor.

Cell and atoms:
```
Zr3Sc4Ga4
1.0
-1.6338 4.2918 8.2380
1.6338 -4.2918 8.2380
1.6338 4.2918 -8.2380
Zr Sc Ga
3 4 4
Cartesian
0.0000 0.0000 0.0000
1.6338 0.0000 6.6945
0.0000 4.2918 1.5435
1.6338 1.6125 -2.7241
1.6338 1.6125 2.7241
0.0000 2.6793 5.5140
0.0000 2.6793 10.9621
0.0000 0.0000 4.4159
1.6338 2.3659 0.0000
0.0000 1.9259 8.2380
0.0000 0.0000 12.0601
```

Peak list (12 most intense, 2θ from 10° to 90°, sorted by position)
two_theta	I (rel.)
29.03	185
34.94	1000
35.37	431
36.63	801
38.81	311
38.94	410
39.71	183
42.11	231
43.45	205
56.31	178
65.46	239
72.88	211

=====

Entry 4:
Starting from a cell relaxed with GGA-PBE, the PXRD pattern of GaSe2 was simulated for Cu Kα (λ = 1.5418 Å).
Kinematic intensities with the Lorentz-polarization factor, no thermal factor.

Cell and atoms:
```
GaSe2
1.0
3.9063 0.0000 0.0000
-1.1764 5.9090 0.0000
-0.7925 -1.9665 7.6352
Ga Se
2 4
Cartesian
-0.0224 2.2794 2.5397
1.9599 1.6632 5.0955
-0.1831 3.8110 0.7492
0.0070 3.2249 4.8648
1.9304 0.7176 2.7704
2.1205 0.1315 6.8860
```

Peak list (12 most intense, 2θ from 10° to 90°, sorted by position)
two_theta	I (rel.)
15.49	1000
24.60	831
25.11	748
30.48	292
31.24	544
34.81	203
35.29	244
35.90	290
39.72	316
43.96	257
44.76	236
47.67	352

=====

Entry 5:
Starting from a cell relaxed with GGA-PBE, the PXRD pattern of GaSe2 was simulated for Cu Kα (λ = 1.5418 Å).
Kinematic intensities with the Lorentz-polarization factor, no thermal factor.

Cell and atoms:
```
GaSe2
1.0
2.3680 -3.1114 0.0000
2.3680 3.1114 0.0000
-1.5975 0.0000 5.2001
Ga Se
1 2
Cartesian
0.0000 0.0000 0.0000
-0.0069 1.1938 3.8097
3.1455 1.1938 1.3904
```

Peak list (12 most intense, 2θ from 10° to 90°, sorted by position)
two_theta	I (rel.)
17.05	195
24.31	304
26.23	1000
28.69	238
33.10	937
33.56	178
44.70	276
45.46	459
49.35	396
49.82	360
52.80	278
60.50	162

=====

Entry 6:
Starting from a cell relaxed with GGA-PBE, the PXRD pattern of GaSiSe4 was simulated for Cu Kα (λ = 1.5418 Å).
Kinematic intensities with the Lorentz-polarization factor, no thermal factor.

Cell and atoms:
```
GaSiSe4
1.0
5.6719 0.0000 0.0000
0.0000 5.6719 0.0000
0.0000 0.0000 9.8334
Ga Si Se
2 2 8
Cartesian
0.0000 0.0000 0.0000
0.0000 0.0000 4.9167
0.0000 2.8359 2.4583
2.8359 0.0000 7.3750
1.4552 1.5197 3.6612
1.4552 4.1522 1.2555
1.5197 1.4552 8.5779
1.5197 4.2167 6.1722
4.1522 1.4552 6.1722
4.1522 4.2167 8.5779
4.2167 1.5197 1.2555
4.2167 4.1522 3.6612
```

Peak list (12 most intense, 2θ from 10° to 90°, sorted by position)
two_theta	I (rel.)
23.95	79
28.73	1000
31.55	161
36.56	75
39.99	91
45.22	224
49.04	348
54.45	305
61.08	112
65.87	67
79.16	101
86.30	146